Record 1
MgBiF5: simulated X-ray powder pattern (Cu Kα (weighted mean of Kα1 and Kα2)), based on DFT lattice parameters and positions (PBE).
Lines closer than 0.1° are merged.

Principal peaks in the range 10° ≤ 2θ ≤ 80°, by angle:
d [Å]  I_rel
5.233  100
4.163  69
3.801  27
3.768  26
3.592  95
3.364  34
2.732  24
2.565  22
1.983  26
1.795  40

abc: 5.775 5.775 8.498
angles: 112.06 112.06 71.26
Sites, in units of the cell vectors:
Mg (0.013, 0.987, 0.500)
Mg (0.987, 0.013, 0.000)
Bi (0.498, 0.502, 0.750)
Bi (0.502, 0.498, 0.250)
F (0.160, 0.811, 0.814)
F (0.197, 0.268, 0.105)
F (0.204, 0.829, 0.171)
F (0.268, 0.197, 0.605)
F (0.338, 0.661, 0.499)
F (0.661, 0.338, 0.999)
F (0.728, 0.808, 0.890)
F (0.808, 0.728, 0.390)
F (0.811, 0.160, 0.314)
F (0.829, 0.204, 0.671)

Record 2
MgBiF5: simulated X-ray powder pattern (Cu Kα (weighted mean of Kα1 and Kα2)), based on DFT lattice parameters and positions (PBE).
Lines closer than 0.1° are merged.

Principal peaks in the range 10° ≤ 2θ ≤ 80°, by angle:
d [Å]  I_rel
5.235  100
4.686  57
3.814  100
3.702  83
3.463  66
2.655  22
2.543  33
2.528  21
2.236  18
2.095  26

abc: 5.390 10.462 8.424
angles: 90.00 103.51 90.00
Sites, in units of the cell vectors:
Mg (0.018, 0.011, 0.198)
Mg (0.018, 0.489, 0.698)
Mg (0.982, 0.511, 0.302)
Mg (0.982, 0.989, 0.802)
Bi (0.404, 0.233, 0.606)
Bi (0.404, 0.267, 0.106)
Bi (0.596, 0.733, 0.894)
Bi (0.596, 0.767, 0.394)
F (0.106, 0.096, 0.643)
F (0.106, 0.404, 0.143)
F (0.135, 0.097, 0.003)
F (0.135, 0.403, 0.503)
F (0.258, 0.635, 0.323)
F (0.258, 0.865, 0.823)
F (0.282, 0.169, 0.318)
F (0.282, 0.331, 0.818)
F (0.340, 0.587, 0.752)
F (0.340, 0.913, 0.252)
F (0.660, 0.087, 0.748)
F (0.660, 0.413, 0.248)
F (0.718, 0.669, 0.182)
F (0.718, 0.831, 0.682)
F (0.742, 0.135, 0.177)
F (0.742, 0.365, 0.677)
F (0.865, 0.597, 0.497)
F (0.865, 0.903, 0.997)
F (0.894, 0.596, 0.857)
F (0.894, 0.904, 0.357)

Record 3
Bi3NF6: simulated X-ray powder pattern (Cu Kα (weighted mean of Kα1 and Kα2)), based on DFT lattice parameters and positions (PBE).
Lines closer than 0.1° are merged.

Principal peaks in the range 10° ≤ 2θ ≤ 80°, by angle:
d [Å]  I_rel
3.440  100
3.137  16
2.907  28
2.141  9
2.133  30
2.056  14
1.864  14
1.767  10
1.763  16
1.720  8

abc: 5.825 5.807 18.825
angles: 90.00 90.00 90.00
Sites, in units of the cell vectors:
Bi (0.203, 0.013, 0.068)
Bi (0.203, 0.013, 0.432)
Bi (0.203, 0.487, 0.568)
Bi (0.203, 0.487, 0.932)
Bi (0.281, 0.026, 0.750)
Bi (0.281, 0.474, 0.250)
Bi (0.719, 0.526, 0.750)
Bi (0.719, 0.974, 0.250)
Bi (0.797, 0.513, 0.068)
Bi (0.797, 0.513, 0.432)
Bi (0.797, 0.987, 0.568)
Bi (0.797, 0.987, 0.932)
N (0.017, 0.750, 0.000)
N (0.017, 0.750, 0.500)
N (0.983, 0.250, 0.000)
N (0.983, 0.250, 0.500)
F (0.093, 0.131, 0.250)
F (0.093, 0.369, 0.750)
F (0.125, 0.056, 0.629)
F (0.125, 0.056, 0.871)
F (0.125, 0.444, 0.129)
F (0.125, 0.444, 0.371)
F (0.462, 0.736, 0.678)
F (0.462, 0.736, 0.822)
F (0.462, 0.764, 0.178)
F (0.462, 0.764, 0.322)
F (0.488, 0.250, 0.000)
F (0.488, 0.250, 0.500)
F (0.512, 0.750, 0.000)
F (0.512, 0.750, 0.500)
F (0.538, 0.236, 0.678)
F (0.538, 0.236, 0.822)
F (0.538, 0.264, 0.178)
F (0.538, 0.264, 0.322)
F (0.875, 0.556, 0.629)
F (0.875, 0.556, 0.871)
F (0.875, 0.944, 0.129)
F (0.875, 0.944, 0.371)
F (0.907, 0.631, 0.250)
F (0.907, 0.869, 0.750)

Record 4
BiNF4: simulated X-ray powder pattern (Cu Kα (weighted mean of Kα1 and Kα2)), based on DFT lattice parameters and positions (PBE).
Lines closer than 0.1° are merged.

Principal peaks in the range 10° ≤ 2θ ≤ 80°, by angle:
d [Å]  I_rel
8.523  100
5.525  33
3.675  39
3.300  16
3.177  28
2.996  12
2.962  13
2.494  17
2.419  16
2.099  12

abc: 8.528 7.256 6.605
angles: 90.00 92.05 90.00
Sites, in units of the cell vectors:
Bi (0.110, 0.158, 0.255)
Bi (0.110, 0.342, 0.755)
Bi (0.890, 0.658, 0.245)
Bi (0.890, 0.842, 0.745)
N (0.396, 0.685, 0.292)
N (0.396, 0.815, 0.792)
N (0.604, 0.185, 0.208)
N (0.604, 0.315, 0.708)
F (0.057, 0.678, 0.546)
F (0.057, 0.822, 0.046)
F (0.101, 0.051, 0.647)
F (0.101, 0.449, 0.147)
F (0.272, 0.194, 0.982)
F (0.272, 0.306, 0.482)
F (0.379, 0.636, 0.837)
F (0.379, 0.864, 0.337)
F (0.621, 0.136, 0.663)
F (0.621, 0.364, 0.163)
F (0.728, 0.694, 0.518)
F (0.728, 0.806, 0.018)
F (0.899, 0.551, 0.853)
F (0.899, 0.949, 0.353)
F (0.943, 0.178, 0.954)
F (0.943, 0.322, 0.454)

Record 5
Rb2NaBiF6: simulated X-ray powder pattern (Cu Kα (weighted mean of Kα1 and Kα2)), based on DFT lattice parameters and positions (PBE).
Lines closer than 0.1° are merged.

Principal peaks in the range 10° ≤ 2θ ≤ 80°, by angle:
d [Å]  I_rel
5.299  53
3.245  100
2.767  33
2.295  40
2.106  15
1.874  43
1.766  12
1.623  26
1.451  19
1.227  23

abc: 6.490 6.490 6.490
angles: 60.00 60.00 60.00
Sites, in units of the cell vectors:
Rb (0.250, 0.250, 0.250)
Rb (0.750, 0.750, 0.750)
Na (0.000, 0.000, 0.000)
Bi (0.500, 0.500, 0.500)
F (0.252, 0.252, 0.748)
F (0.252, 0.748, 0.252)
F (0.252, 0.748, 0.748)
F (0.748, 0.252, 0.252)
F (0.748, 0.252, 0.748)
F (0.748, 0.748, 0.252)

Record 6
Bi5O7F: simulated X-ray powder pattern (Cu Kα (weighted mean of Kα1 and Kα2)), based on DFT lattice parameters and positions (PBE).
Lines closer than 0.1° are merged.

Principal peaks in the range 10° ≤ 2θ ≤ 80°, by angle:
d [Å]  I_rel
6.387  29
3.434  23
3.170  100
3.163  54
3.144  43
2.959  96
2.096  29
2.088  22
1.890  26
1.749  32

abc: 4.192 9.758 13.483
angles: 70.85 89.97 77.62
Sites, in units of the cell vectors:
Bi (0.032, 0.444, 0.349)
Bi (0.101, 0.305, 0.104)
Bi (0.249, 0.009, 0.870)
Bi (0.300, 0.908, 0.639)
Bi (0.376, 0.741, 0.418)
Bi (0.624, 0.259, 0.582)
Bi (0.700, 0.092, 0.361)
Bi (0.751, 0.991, 0.130)
Bi (0.899, 0.695, 0.896)
Bi (0.968, 0.556, 0.651)
O (0.090, 0.325, 0.515)
O (0.123, 0.265, 0.283)
O (0.195, 0.107, 0.704)
O (0.204, 0.083, 0.096)
O (0.274, 0.954, 0.436)
O (0.349, 0.804, 0.828)
O (0.433, 0.628, 0.599)
O (0.567, 0.372, 0.401)
O (0.651, 0.196, 0.172)
O (0.726, 0.046, 0.564)
O (0.796, 0.917, 0.904)
O (0.805, 0.893, 0.296)
O (0.877, 0.735, 0.717)
O (0.910, 0.675, 0.485)
F (0.424, 0.663, 0.030)
F (0.576, 0.337, 0.970)